# Rb2Mg3Tl12Pb
Simulated powder X-ray diffraction pattern, Cu Kα. Input: a GGA-PBE-relaxed structure.
Kinematic intensities with the Lorentz-polarization factor, no thermal factor.

Atomic structure:
Cell: 12.6764 12.6764 12.6764 Å, 36.10 36.10 36.10°
Positions (direct):
Rb (0.1460, 0.1460, 0.1460)
Rb (0.8540, 0.8540, 0.8540)
Mg (0.0000, 0.5000, 0.5000)
Mg (0.5000, 0.0000, 0.5000)
Mg (0.5000, 0.5000, 0.0000)
Tl (0.0893, 0.0893, 0.6855)
Tl (0.0893, 0.6855, 0.0893)
Tl (0.1254, 0.5819, 0.5819)
Tl (0.3145, 0.9107, 0.9107)
Tl (0.4181, 0.4181, 0.8746)
Tl (0.4181, 0.8746, 0.4181)
Tl (0.5819, 0.1254, 0.5819)
Tl (0.5819, 0.5819, 0.1254)
Tl (0.6855, 0.0893, 0.0893)
Tl (0.8746, 0.4181, 0.4181)
Tl (0.9107, 0.3145, 0.9107)
Tl (0.9107, 0.9107, 0.3145)
Pb (0.5000, 0.5000, 0.5000)

Top 6 peaks for 2θ from 5° to 70°, by angle:
d/Å	2θ (°)	Rel. int.
5.400	16.42	44
3.176	28.09	100
2.917	30.65	36
2.700	33.18	49
2.118	42.70	34
1.964	46.21	53